Record 1
Diffraction record for LiMn3OF5. The X-ray diffraction stick pattern is simulated, not measured: it uses DFT lattice parameters and positions (PBE+U) and Cu Kα X-rays.

Most intense lines, 10 to 90 degrees two-theta, low angle first:
- 2θ 25.32, d = 3.518 Å, I = 90
- 2θ 30.99, d = 2.886 Å, I = 100
- 2θ 31.27, d = 2.861 Å, I = 45
- 2θ 44.57, d = 2.033 Å, I = 36
- 2θ 45.72, d = 1.985 Å, I = 41
- 2θ 53.15, d = 1.723 Å, I = 39

Crystal structure
```
LiMn3OF5
1.0
6.304 0.000 0.000
-0.215 6.355 0.000
-0.267 -0.255 6.349
Li Mn O F
2 6 2 10
Cartesian
0.000 0.000 0.000 Li
2.841 2.972 3.133 Li
0.202 1.319 3.328 Mn
1.502 3.481 0.212 Mn
2.345 5.468 4.622 Mn
3.604 0.327 1.507 Mn
4.243 2.504 5.663 Mn
5.570 4.643 2.557 Mn
2.552 3.482 5.045 O
5.620 0.235 1.875 O
0.074 1.654 5.577 F
0.177 5.558 4.311 F
0.953 3.232 2.330 F
1.762 5.804 0.412 F
2.352 0.917 3.306 F
3.267 2.409 1.139 F
3.362 4.864 2.720 F
4.029 0.291 5.642 F
4.905 2.782 3.569 F
5.701 4.217 0.338 F
```

Record 2
Diffraction record for Mg2TiWO6. The X-ray diffraction stick pattern is simulated, not measured: it uses DFT lattice parameters and positions (PBE+U) and Cu Kα X-rays.

Most intense lines, 10 to 90 degrees two-theta, low angle first:
- 2θ 20.23, d = 4.390 Å, I = 68
- 2θ 23.30, d = 3.817 Å, I = 51
- 2θ 23.76, d = 3.745 Å, I = 100
- 2θ 33.25, d = 2.695 Å, I = 74
- 2θ 33.80, d = 2.652 Å, I = 69
- 2θ 54.23, d = 1.691 Å, I = 40

Crystal structure
```
Mg2TiWO6
1.0
5.230 0.000 0.000
0.000 5.365 0.000
-5.061 0.000 7.634
Mg Ti W O
4 2 2 12
Cartesian
-0.002 0.275 1.870 Mg
-2.532 2.408 5.687 Mg
2.702 2.958 1.947 Mg
0.172 5.090 5.764 Mg
-2.530 0.000 3.817 Ti
0.000 2.683 0.000 Ti
2.615 0.000 0.000 W
0.085 2.683 3.817 W
-4.208 1.037 7.107 O
-1.678 1.645 3.289 O
-3.429 3.655 7.094 O
-0.898 4.393 3.277 O
-1.812 0.348 5.696 O
0.719 2.335 1.879 O
-0.549 3.031 5.755 O
1.981 5.018 1.938 O
1.068 0.972 4.357 O
3.598 1.711 0.540 O
1.847 3.720 4.345 O
4.378 4.328 0.528 O
```

Record 3
Diffraction record for Li10Mn3Cr2Ni3O16. The X-ray diffraction stick pattern is simulated, not measured: it uses DFT lattice parameters and positions (PBE+U) and Cu Kα X-rays.

Most intense lines, 10 to 90 degrees two-theta, low angle first:
- 2θ 18.14, d = 4.890 Å, I = 100
- 2θ 19.46, d = 4.562 Å, I = 83
- 2θ 35.41, d = 2.535 Å, I = 61
- 2θ 36.03, d = 2.493 Å, I = 57
- 2θ 44.73, d = 2.026 Å, I = 60
- 2θ 45.01, d = 2.014 Å, I = 90

Crystal structure
```
Li10Mn3Cr2Ni3O16
1.0
5.174 -2.967 0.000
5.174 2.967 0.000
-0.122 0.000 9.780
Li Mn Cr Ni O
10 3 2 3 16
Cartesian
0.000 0.000 0.000 Li
0.016 0.000 4.907 Li
4.207 1.295 5.651 Li
2.118 0.000 5.496 Li
3.472 0.000 7.704 Li
6.330 1.247 0.594 Li
4.207 -1.295 5.651 Li
6.943 0.000 2.812 Li
8.374 0.000 0.679 Li
6.330 -1.247 0.594 Li
4.346 1.460 2.948 Mn
4.346 -1.460 2.948 Mn
8.486 0.000 7.834 Mn
3.450 0.000 0.422 Cr
6.851 0.000 5.344 Cr
1.779 0.000 2.931 Ni
5.970 1.480 7.835 Ni
5.970 -1.480 7.835 Ni
2.731 1.402 1.719 O
4.128 1.535 8.985 O
1.597 0.000 9.155 O
6.035 1.483 4.155 O
3.576 0.000 4.033 O
5.169 0.000 1.563 O
2.731 -1.402 1.719 O
5.237 0.000 6.587 O
7.703 1.374 6.630 O
4.128 -1.535 8.985 O
6.907 0.000 8.958 O
8.590 0.000 4.231 O
6.035 -1.483 4.155 O
7.703 -1.374 6.630 O
10.149 0.000 6.776 O
10.279 0.000 1.923 O
```

Record 4
Diffraction record for Li4Ni3WO8. The X-ray diffraction stick pattern is simulated, not measured: it uses DFT lattice parameters and positions (PBE+U) and Cu Kα X-rays.

Most intense lines, 10 to 90 degrees two-theta, low angle first:
- 2θ 18.08, d = 4.908 Å, I = 33
- 2θ 18.26, d = 4.858 Å, I = 100
- 2θ 34.98, d = 2.565 Å, I = 53
- 2θ 36.62, d = 2.454 Å, I = 27
- 2θ 42.66, d = 2.120 Å, I = 65
- 2θ 46.76, d = 1.943 Å, I = 21

Crystal structure
```
Li4Ni3WO8
1.0
3.009 1.737 4.858
-3.009 1.737 4.858
0.000 -3.475 4.858
Li Ni W O
4 3 1 8
Cartesian
0.000 0.000 0.000 Li
-1.505 -0.869 4.858 Li
-1.505 0.869 9.716 Li
0.000 1.737 4.858 Li
-3.009 0.000 7.287 Ni
-1.505 0.869 2.429 Ni
1.505 0.869 2.429 Ni
0.000 0.000 7.287 W
0.000 0.000 3.494 O
0.000 -1.605 6.145 O
-1.390 0.802 6.145 O
-1.390 -0.802 8.429 O
1.390 0.802 6.145 O
1.390 -0.802 8.429 O
0.000 1.605 8.429 O
0.000 0.000 11.080 O
```